For CaMg2Sb, the GGA-PBE geometry in Alexandria gives the simulated powder XRD pattern in this record (λ = 1.5418 Å (Cu Kα)).

Main lines, by angle (2θ from 10° to 90°):
2θ (°), d (Å), I/Imax
18.1, 4.908, 310
19.5, 4.543, 245
26.7, 3.334, 232
33.3, 2.688, 1000
39.7, 2.271, 306
68.0, 1.379, 233

Cell and atoms:
a = 4.5429 Å, b = 4.5429 Å, c = 4.9085 Å
α = 90.00°, β = 90.00°, γ = 90.00°
Element x y z (fractional)
Ca  0.0000  0.0000  0.0000
Mg  0.0000  0.5000  0.5000
Mg  0.5000  0.0000  0.5000
Sb  0.5000  0.5000  0.0000